[1]
Simulated X-ray powder pattern
Compound: Gd2SeOF2
Radiation: λ = 1.5418 Å (Cu Kα)
Structure: a DFT-relaxed cell (GGA-PBE, Alexandria)
Neutral-atom scattering factors, no anomalous dispersion.

```
36
Lattice="13.6330 0.0000 0.0000 -6.8165 11.8065 0.0000 0.0000 0.0000 3.8077" Properties=species:S:1:pos:R:3 pbc="T T T"
Gd -1.2237 3.4328 0.9519
Gd -2.4956 7.1100 0.9519
Gd -3.2317 11.1499 0.9519
Gd 2.3610 2.7762 2.8558
Gd 1.9069 6.0902 0.9519
Gd 0.5887 10.4128 0.9519
Gd 6.2277 1.3937 2.8558
Gd 4.9096 5.7163 2.8558
Gd 4.4554 9.0303 0.9519
Gd 10.0482 0.6566 2.8558
Gd 9.3121 4.6965 2.8558
Gd 8.0402 8.3737 2.8558
Se -0.5173 5.7643 2.8558
Se -1.5658 9.3723 2.8558
Se 4.7334 3.3302 0.9519
Se 2.0831 8.4763 2.8558
Se 8.3823 2.4342 0.9519
Se 7.3338 6.0422 0.9519
O -3.8016 6.9273 2.8558
O 2.7180 5.0505 2.8558
O 5.7329 0.1714 0.9519
O 1.0836 11.6351 2.8558
O 4.0985 6.7560 0.9519
O 10.6181 4.8792 0.9519
F -4.1994 8.8631 0.9519
F -0.0395 2.4815 2.8558
F -4.6477 10.5999 2.8558
F 2.1293 1.2749 0.9519
F 1.2405 3.7382 0.9519
F 3.8576 0.7947 2.8558
F 2.9589 11.0118 0.9519
F 5.5759 8.0683 2.8558
F 4.6872 10.5316 2.8558
F 11.4642 1.2066 0.9519
F 6.8559 9.3250 0.9519
F 11.0159 2.9434 2.8558
```

Peak list (10 most intense, 10 to 90 degrees two-theta, by intensity)
2θ 27.23, d 3.275, I 100; 2θ 30.87, d 2.897, I 95; 2θ 32.73, d 2.737, I 73; 2θ 48.13, d 1.891, I 47; 2θ 35.34, d 2.540, I 47; 2θ 36.18, d 2.483, I 42; 2θ 54.16, d 1.693, I 39; 2θ 12.99, d 6.816, I 36; 2θ 70.15, d 1.341, I 30; 2θ 47.77, d 1.904, I 30

[2]
Simulated X-ray powder pattern
Compound: Na5Cd2Pb2
Radiation: λ = 1.5418 Å (Cu Kα)
Structure: a DFT-relaxed cell (GGA-PBE, Alexandria)
Neutral-atom scattering factors, no anomalous dispersion.

```
9
Lattice="5.7331 -2.6646 0.0000 5.7331 2.6646 0.0000 -2.1315 0.0000 8.4573" Properties=species:S:1:pos:R:3 pbc="T T T"
Na 0.0000 0.0000 0.0000
Na -0.1400 0.0000 5.7751
Na 3.5054 0.0000 6.0300
Na 5.8293 0.0000 2.4273
Na 9.4747 0.0000 2.6823
Cd 3.4158 0.0000 0.3865
Cd 5.9189 0.0000 8.0708
Pb 1.7923 0.0000 3.1337
Pb 7.5424 0.0000 5.3236
```

Peak list (10 most intense, 10 to 90 degrees two-theta, by intensity)
2θ 15.94, d 5.559, I 100; 2θ 33.23, d 2.696, I 77; 2θ 22.22, d 4.001, I 63; 2θ 32.63, d 2.745, I 52; 2θ 33.63, d 2.665, I 40; 2θ 35.16, d 2.552, I 27; 2θ 37.43, d 2.403, I 25; 2θ 31.74, d 2.819, I 25; 2θ 59.53, d 1.553, I 22; 2θ 20.27, d 4.382, I 20